(1)
Calculated powder X-ray diffraction pattern
Compound: UBeOsC
Radiation: Cu Kα, 1.54184 Å
Structure: a crystal structure in Alexandria, relaxed with GGA-PBE
Intensities are scaled so that the largest is 100.

Unit cell a=3.6311 b=3.6311 c=8.3397 alpha=90.00 beta=90.00 gamma=90.00
Element x y z (fractional)
1 U 0.2500 0.2500 0.1594
2 U 0.7500 0.7500 0.8406
3 Be 0.2500 0.2500 0.6805
4 Be 0.7500 0.7500 0.3195
5 Os 0.2500 0.7500 0.5000
6 Os 0.7500 0.2500 0.5000
7 C 0.2500 0.2500 0.8860
8 C 0.7500 0.7500 0.1140

Most intense lines, 10 to 90 degrees two-theta, sorted by position:
2theta  intensity
26.78  71.0
32.20  60.2
32.70  54.8
36.62  100.0
41.29  58.9
50.25  38.4
56.89  34.2
60.95  40.2
61.26  19.6
85.33  19.0



(2)
Calculated powder X-ray diffraction pattern
Compound: CrPt3Rh3
Radiation: Cu Kα, 1.54184 Å
Structure: a crystal structure in Alexandria, relaxed with GGA-PBE
Intensities are scaled so that the largest is 100.

Unit cell a=5.3652 b=5.3652 c=7.6813 alpha=90.00 beta=90.00 gamma=91.49
Element x y z (fractional)
1 Cr 0.2466 0.7534 0.0000
2 Cr 0.7534 0.2466 0.0000
3 Pt 0.0000 0.5000 0.2438
4 Pt 0.0000 0.5000 0.7562
5 Pt 0.5000 0.0000 0.2438
6 Pt 0.5000 0.0000 0.7562
7 Pt 0.5000 0.5000 0.2425
8 Pt 0.5000 0.5000 0.7575
9 Rh 0.2223 0.2223 0.0000
10 Rh 0.2405 0.7595 0.5000
11 Rh 0.2430 0.2430 0.5000
12 Rh 0.7570 0.7570 0.5000
13 Rh 0.7595 0.2405 0.5000
14 Rh 0.7777 0.7777 0.0000

Most intense lines, 10 to 90 degrees two-theta, sorted by position:
2theta  intensity
16.53  14.1
28.59  14.7
41.05  100.0
47.32  33.5
48.64  14.8
69.16  10.6
70.20  19.4
83.69  24.9
85.65  10.9
89.05  10.6



(3)
Calculated powder X-ray diffraction pattern
Compound: Pr4Nd4Tm
Radiation: Cu Kα, 1.54184 Å
Structure: a crystal structure in Alexandria, relaxed with GGA-PBE
Intensities are scaled so that the largest is 100.

Unit cell a=8.2205 b=8.2205 c=8.2205 alpha=95.73 beta=95.73 gamma=143.17
Element x y z (fractional)
1 Pr 0.1655 0.1655 0.3309
2 Pr 0.1655 0.8345 0.0000
3 Pr 0.8345 0.1655 0.0000
4 Pr 0.8345 0.8345 0.6691
5 Nd 0.1674 0.5000 0.6674
6 Nd 0.5000 0.1674 0.6674
7 Nd 0.5000 0.8326 0.3326
8 Nd 0.8326 0.5000 0.3326
9 Tm 0.5000 0.5000 0.0000

Most intense lines, 10 to 90 degrees two-theta, sorted by position:
2theta  intensity
29.77  100.0
34.51  50.7
49.61  36.4
58.93  43.4
61.83  12.5
72.78  5.8
80.56  17.6
83.10  16.4



(4)
Calculated powder X-ray diffraction pattern
Compound: LaBiO3
Radiation: Cu Kα, 1.54184 Å
Structure: a crystal structure in Alexandria, relaxed with GGA-PBE
Intensities are scaled so that the largest is 100.

Unit cell a=6.5455 b=8.8403 c=6.0486 alpha=90.00 beta=90.00 gamma=90.00
Element x y z (fractional)
1 La 0.0000 0.0000 0.0000
2 La 0.0000 0.5000 0.0000
3 La 0.5000 0.0000 0.5000
4 La 0.5000 0.5000 0.5000
5 Bi 0.0232 0.2500 0.4888
6 Bi 0.4768 0.7500 0.9888
7 Bi 0.5232 0.2500 0.0112
8 Bi 0.9768 0.7500 0.5112
9 O 0.0682 0.7500 0.1670
10 O 0.1745 0.5757 0.6562
11 O 0.1745 0.9243 0.6562
12 O 0.3255 0.0757 0.1562
13 O 0.3255 0.4243 0.1562
14 O 0.4318 0.2500 0.6670
15 O 0.5682 0.7500 0.3330
16 O 0.6745 0.5757 0.8438
17 O 0.6745 0.9243 0.8438
18 O 0.8255 0.0757 0.3438
19 O 0.8255 0.4243 0.3438
20 O 0.9318 0.2500 0.8330

Most intense lines, 10 to 90 degrees two-theta, sorted by position:
2theta  intensity
27.25  27.6
28.49  100.0
29.54  21.7
40.62  20.4
40.83  11.0
48.93  23.5
49.78  12.5
51.19  10.7
51.76  23.2
58.95  13.2



(5)
Calculated powder X-ray diffraction pattern
Compound: MnAlFe14
Radiation: Cu Kα, 1.54184 Å
Structure: a crystal structure in Alexandria, relaxed with GGA-PBE
Intensities are scaled so that the largest is 100.

Unit cell a=4.9246 b=4.9246 c=8.0480 alpha=90.00 beta=90.00 gamma=109.43
Element x y z (fractional)
1 Mn 0.0000 0.0000 0.0000
2 Al 0.5000 0.5000 0.0000
3 Fe 0.0000 0.0000 0.5000
4 Fe 0.0000 0.5000 0.0000
5 Fe 0.0000 0.5000 0.5000
6 Fe 0.2452 0.2452 0.2532
7 Fe 0.2452 0.2452 0.7468
8 Fe 0.2525 0.7475 0.2481
9 Fe 0.2525 0.7475 0.7519
10 Fe 0.5000 0.0000 0.0000
11 Fe 0.5000 0.0000 0.5000
12 Fe 0.5000 0.5000 0.5000
13 Fe 0.7475 0.2525 0.2481
14 Fe 0.7475 0.2525 0.7519
15 Fe 0.7548 0.7548 0.2532
16 Fe 0.7548 0.7548 0.7468

Most intense lines, 10 to 90 degrees two-theta, sorted by position:
2theta  intensity
10.99  0.9
22.10  0.8
45.08  100.0
65.65  14.7
83.20  28.5



(6)
Calculated powder X-ray diffraction pattern
Compound: YAu5
Radiation: Cu Kα, 1.54184 Å
Structure: a crystal structure in Alexandria, relaxed with GGA-PBE
Intensities are scaled so that the largest is 100.

Unit cell a=5.6450 b=5.6450 c=5.6450 alpha=128.37 beta=118.82 gamma=84.10
Element x y z (fractional)
1 Y 0.0000 0.0000 0.0000
2 Au 0.0819 0.3332 0.7487
3 Au 0.4154 0.6668 0.7487
4 Au 0.5000 0.0000 0.5000
5 Au 0.5846 0.3332 0.2513
6 Au 0.9181 0.6668 0.2513

Most intense lines, 10 to 90 degrees two-theta, sorted by position:
2theta  intensity
31.13  17.0
36.56  51.7
37.00  100.0
37.83  75.5
37.97  37.5
49.11  19.8
53.73  27.7
66.10  18.7
66.65  14.5
77.15  24.4



(7)
Calculated powder X-ray diffraction pattern
Compound: CsTlHgPPbO
Radiation: Cu Kα, 1.54184 Å
Structure: a crystal structure in Alexandria, relaxed with GGA-PBE
Intensities are scaled so that the largest is 100.

Unit cell a=4.9646 b=5.8797 c=8.1281 alpha=84.12 beta=72.44 gamma=65.22
Element x y z (fractional)
1 Cs 0.0000 0.0000 0.0000
2 Tl 0.4892 0.3906 0.6322
3 Hg 0.1969 0.1848 0.4217
4 P 0.5115 0.6768 0.3064
5 Pb 0.8681 0.7830 0.4880
6 O 0.6289 0.6378 0.1063

Most intense lines, 10 to 90 degrees two-theta, sorted by position:
2theta  intensity
11.42  100.0
20.49  14.8
22.96  24.5
26.11  70.3
28.86  13.1
31.54  36.4
31.67  36.1
34.96  24.9
35.26  38.3
36.19  28.9



(8)
Calculated powder X-ray diffraction pattern
Compound: BaHo3As4O12
Radiation: Cu Kα, 1.54184 Å
Structure: a crystal structure in Alexandria, relaxed with GGA-PBE
Intensities are scaled so that the largest is 100.

Unit cell a=7.2051 b=7.2051 c=7.2051 alpha=104.52 beta=104.52 gamma=104.52
Element x y z (fractional)
1 Ba 0.0000 0.0000 0.0000
2 Ho 0.0000 0.5715 0.4285
3 Ho 0.4285 0.0000 0.5715
4 Ho 0.5715 0.4285 0.0000
5 As 0.0903 0.5000 0.9097
6 As 0.5000 0.5000 0.5000
7 As 0.5000 0.9097 0.0903
8 As 0.9097 0.0903 0.5000
9 O 0.0132 0.2566 0.3670
10 O 0.0665 0.9335 0.5000
11 O 0.2566 0.3670 0.0132
12 O 0.3301 0.6699 0.5000
13 O 0.3670 0.0132 0.2566
14 O 0.5000 0.0665 0.9335
15 O 0.5000 0.3301 0.6699
16 O 0.6330 0.7434 0.9868
17 O 0.6699 0.5000 0.3301
18 O 0.7434 0.9868 0.6330
19 O 0.9335 0.5000 0.0665
20 O 0.9868 0.6330 0.7434

Most intense lines, 10 to 90 degrees two-theta, sorted by position:
2theta  intensity
20.63  19.0
25.94  37.2
27.13  100.0
31.41  16.1
34.33  59.4
45.05  37.3
50.68  17.6
57.83  14.6
58.41  28.9
63.29  14.5



(9)
Calculated powder X-ray diffraction pattern
Compound: ZnAgGe2Se6
Radiation: Cu Kα, 1.54184 Å
Structure: a crystal structure in Alexandria, relaxed with GGA-PBE
Intensities are scaled so that the largest is 100.

Unit cell a=9.1000 b=9.1000 c=6.8395 alpha=105.30 beta=105.30 gamma=86.16
Element x y z (fractional)
1 Zn 0.2190 0.7810 0.7500
2 Zn 0.7810 0.2190 0.2500
3 Ag 0.1218 0.8782 0.2500
4 Ag 0.8782 0.1218 0.7500
5 Ge 0.2228 0.3855 0.2694
6 Ge 0.3855 0.2228 0.7694
7 Ge 0.6145 0.7772 0.2306
8 Ge 0.7772 0.6145 0.7306
9 Se 0.0415 0.1768 0.1409
10 Se 0.1050 0.6226 0.4006
11 Se 0.1768 0.0415 0.6409
12 Se 0.3068 0.4478 0.9948
13 Se 0.3774 0.8950 0.0994
14 Se 0.4478 0.3068 0.4948
15 Se 0.5522 0.6932 0.5052
16 Se 0.6226 0.1050 0.9006
17 Se 0.6932 0.5522 0.0052
18 Se 0.8232 0.9585 0.3591
19 Se 0.8950 0.3774 0.5994
20 Se 0.9585 0.8232 0.8591

Most intense lines, 10 to 90 degrees two-theta, sorted by position:
2theta  intensity
22.67  72.0
25.22  66.8
28.00  34.7
30.17  100.0
32.21  64.1
36.01  36.8
42.22  52.5
43.69  34.7
49.17  60.9
49.59  54.6



(10)
Calculated powder X-ray diffraction pattern
Compound: Ce2Si3Au2
Radiation: Cu Kα, 1.54184 Å
Structure: a crystal structure in Alexandria, relaxed with GGA-PBE
Intensities are scaled so that the largest is 100.

Unit cell a=9.4785 b=9.4785 c=6.9870 alpha=90.00 beta=90.00 gamma=153.18
Element x y z (fractional)
1 Ce 0.0510 0.9490 0.7500
2 Ce 0.1532 0.8468 0.2500
3 Ce 0.8468 0.1532 0.7500
4 Ce 0.9490 0.0510 0.2500
5 Si 0.2227 0.7773 0.7500
6 Si 0.4445 0.5555 0.5791
7 Si 0.4445 0.5555 0.9209
8 Si 0.5555 0.4445 0.0791
9 Si 0.5555 0.4445 0.4209
10 Si 0.7773 0.2227 0.2500
11 Au 0.3165 0.6835 0.0503
12 Au 0.3165 0.6835 0.4497
13 Au 0.6835 0.3165 0.5503
14 Au 0.6835 0.3165 0.9497

Most intense lines, 10 to 90 degrees two-theta, sorted by position:
2theta  intensity
24.41  31.4
24.90  54.6
31.67  36.4
33.11  100.0
34.23  95.7
35.94  72.8
39.07  39.8
41.07  93.3
43.54  56.6
61.39  41.0



(11)
Calculated powder X-ray diffraction pattern
Compound: Rb2CaBeCl6
Radiation: Cu Kα, 1.54184 Å
Structure: a crystal structure in Alexandria, relaxed with GGA-PBE
Intensities are scaled so that the largest is 100.

Unit cell a=7.1550 b=7.1550 c=7.1550 alpha=120.21 beta=120.21 gamma=89.64
Element x y z (fractional)
1 Rb 0.2500 0.7500 0.5000
2 Rb 0.7500 0.2500 0.5000
3 Ca 0.0000 0.0000 0.0000
4 Be 0.5000 0.5000 0.0000
5 Cl 0.2683 0.2683 0.0000
6 Cl 0.2705 0.2705 0.5410
7 Cl 0.2705 0.7295 0.0000
8 Cl 0.7295 0.2705 0.0000
9 Cl 0.7295 0.7295 0.4590
10 Cl 0.7317 0.7317 0.0000

Most intense lines, 10 to 90 degrees two-theta, sorted by position:
2theta  intensity
24.92  53.1
30.64  100.0
35.37  27.3
35.60  53.2
43.93  13.9
51.06  33.3
51.23  16.3
60.58  11.2
60.89  21.5
63.80  15.7



(12)
Calculated powder X-ray diffraction pattern
Compound: VH5Pd4
Radiation: Cu Kα, 1.54184 Å
Structure: a crystal structure in Alexandria, relaxed with GGA-PBE
Intensities are scaled so that the largest is 100.

Unit cell a=5.0390 b=5.0390 c=5.0390 alpha=99.64 beta=99.64 gamma=131.70
Element x y z (fractional)
1 V 0.0000 0.0000 0.0000
2 H 0.1095 0.3021 0.4116
3 H 0.3021 0.8905 0.1926
4 H 0.5000 0.5000 0.0000
5 H 0.6979 0.1095 0.8074
6 H 0.8905 0.6979 0.5884
7 Pd 0.2036 0.6066 0.8102
8 Pd 0.3934 0.2036 0.5970
9 Pd 0.6066 0.7964 0.4030
10 Pd 0.7964 0.3934 0.1898

Most intense lines, 10 to 90 degrees two-theta, sorted by position:
2theta  intensity
19.30  2.6
25.58  4.0
27.43  3.4
37.86  100.0
43.92  16.9
44.04  33.8
63.98  31.7
76.69  12.2
76.86  23.2
80.90  10.4